Structure and calculated PXRD pattern of SrThP2S8 (a structure optimized by DFT (GGA-PBE); CuKα).
Lines closer than 0.1° are merged.

Most intense lines, 2θ = 10–90°, low angle first:
2theta, Rel. int.
11.13, 55
15.77, 100
24.14, 67
28.97, 55
36.88, 59
40.33, 77

Structural model:
Cell: 11.242 11.242 9.764 Å, 90.00 90.00 90.00°
Space group P4_2/mbc (No. 135)
One atom of each set of equivalent atoms:
1 Sr 0.000 0.500 0.250 (multiplicity 4)
2 Th 0.000 0.000 0.250 (multiplicity 4)
3 P 0.035 0.241 0.000 (multiplicity 8)
4 S 0.069 0.766 0.173 (multiplicity 16)
5 S 0.083 0.867 0.500 (multiplicity 8)
6 S 0.110 0.366 0.500 (multiplicity 8)